Entry 1:
The following is a theoretical powder diffraction line list of Sr2Ga4Pt3Au. It was derived from a crystal structure in Alexandria, relaxed with PBE, using copper Kα.

Principal peaks in the range 5° ≤ 2θ ≤ 70°, sorted by position:
| h k l | d (Å) | two_theta | I/Imax |
| --- | --- | --- | --- |
| 0 0 2 | 5.037 | 17.61 | 309 |
| 1 0 1 | 4.144 | 21.44 | 222 |
| 1 1 1 | 3.062 | 29.16 | 466 |
| 1 1 2 | 2.710 | 33.06 | 1000 |
| 1 0 3 | 2.701 | 33.17 | 623 |
| 2 0 0 | 2.273 | 39.65 | 947 |
| 1 1 4 | 1.982 | 45.77 | 648 |
| 2 1 3 | 1.739 | 52.63 | 336 |
| 2 2 0 | 1.607 | 57.32 | 322 |
| 3 1 2 | 1.382 | 67.80 | 328 |

Atomic structure:
Cell lengths 4.5462, 4.5462, 10.0731 Å; angles 90.00, 90.00, 90.00 degrees
Space group P-4m2 (No. 115)
One atom of each set of equivalent atoms:
Sr 0.0000 0.5000 0.2482 x2
Ga 0.0000 0.0000 0.5000 x1
Ga 0.0000 0.5000 0.8732 x2
Ga 0.5000 0.5000 0.5000 x1
Pt 0.0000 0.0000 0.0000 x1
Pt 0.0000 0.5000 0.6227 x2
Au 0.5000 0.5000 0.0000 x1



Entry 2:
The following is a theoretical powder diffraction line list of PuGa3Au5. It was derived from a crystal structure in Alexandria, relaxed with PBE, using copper Kα.

Principal peaks in the range 5° ≤ 2θ ≤ 70°, sorted by position:
| h k l | d (Å) | two_theta | I/Imax |
| --- | --- | --- | --- |
| 0 4 3 | 2.867 | 31.19 | 624 |
| 1 1 3 | 2.723 | 32.89 | 1000 |
| 1 3 0 | 2.661 | 33.68 | 463 |
| 1 3 2 | 2.521 | 35.61 | 741 |
| 1 1 4 | 2.476 | 36.28 | 335 |
| 0 2 6 | 2.450 | 36.68 | 764 |
| 0 4 5 | 2.318 | 38.86 | 430 |
| 0 6 0 | 2.283 | 39.48 | 366 |
| 1 3 4 | 2.205 | 40.94 | 730 |
| 2 0 0 | 1.638 | 56.16 | 330 |

Atomic structure:
Cell lengths 3.2757, 13.6963, 15.7422 Å; angles 90.00, 90.00, 90.00 degrees
Space group Cmcm (No. 63)
One atom of each set of equivalent atoms:
Pu 0.0000 0.1999 0.2500 x4
Ga 0.0000 0.0874 0.7500 x4
Ga 0.0000 0.3434 0.5344 x8
Au 0.0000 0.0000 0.0000 x4
Au 0.0000 0.1752 0.6056 x8
Au 0.0000 0.4725 0.6574 x8



Entry 3:
The following is a theoretical powder diffraction line list of Pu4Ga3Au. It was derived from a crystal structure in Alexandria, relaxed with PBE, using copper Kα.

Principal peaks in the range 5° ≤ 2θ ≤ 70°, sorted by position:
| h k l | d (Å) | two_theta | I/Imax |
| --- | --- | --- | --- |
| 1 0 0 | 4.370 | 20.32 | 137 |
| 0 1 2 | 3.157 | 28.27 | 125 |
| 1 1 2 | 2.559 | 35.06 | 1000 |
| 0 0 4 | 2.240 | 40.26 | 171 |
| 0 2 0 | 2.225 | 40.54 | 169 |
| 2 0 0 | 2.185 | 41.32 | 160 |
| 0 2 4 | 1.579 | 58.47 | 117 |
| 2 0 4 | 1.564 | 59.06 | 113 |
| 2 2 0 | 1.559 | 59.27 | 113 |
| 1 1 6 | 1.347 | 69.84 | 138 |

Atomic structure:
Cell lengths 4.3701, 4.4501, 8.9595 Å; angles 90.00, 90.00, 90.00 degrees
Space group Pmmm (No. 47)
One atom of each set of equivalent atoms:
Pu 0.0000 0.0000 0.0000 x1
Pu 0.0000 0.0000 0.5000 x1
Pu 0.0000 0.5000 0.2474 x2
Ga 0.5000 0.0000 0.2425 x2
Ga 0.5000 0.5000 0.0000 x1
Au 0.5000 0.5000 0.5000 x1